[1]
This entry pairs a crystal structure of YHoHg4 with its theoretical powder X-ray diffraction pattern. Radiation: Cu Ka. Structure: a DFT-relaxed cell (PBE, Alexandria).
Neutral-atom scattering factors, no anomalous dispersion.

Structural model:
```
data_YHoHg4
_chemical_formula_sum 'Y2 Ho2 Hg8'
_cell_length_a 5.197
_cell_length_b 3.906
_cell_length_c 14.612
_cell_angle_alpha 90.00
_cell_angle_beta 90.00
_cell_angle_gamma 90.00
_space_group_name_H-M_alt 'A m m 2'
_space_group_IT_number 38
_space_group_name_Hall 'A 2 -2'
loop_
_atom_site_label
_atom_site_type_symbol
_atom_site_fract_x
_atom_site_fract_y
_atom_site_fract_z
_atom_site_occupancy
Y1 Y 0.000 0.000 0.000 1
Ho1 Ho 0.500 0.000 0.208 1
Hg1 Hg 0.000 0.000 0.334 1
Hg2 Hg 0.000 0.000 0.669 1
Hg3 Hg 0.500 0.000 0.540 1
Hg4 Hg 0.500 0.000 0.873 1
```

Most intense lines, 5° ≤ 2θ ≤ 70°, in order of rising 2θ:
hkl	2θ (°)	I_rel
0 1 3	29.3	13
1 1 3	34.1	100
2 0 0	34.5	28
0 0 6	36.9	13
1 0 6	40.9	16
2 1 3	45.9	7
0 2 0	46.5	12
2 0 6	51.4	10
2 2 0	59.2	12
3 1 3	61.6	19
0 1 9	61.9	8
1 2 6	63.6	9


[2]
This entry pairs a crystal structure of Ho6Zn5Hg with its theoretical powder X-ray diffraction pattern. Radiation: Cu Ka. Structure: a DFT-relaxed cell (PBE, Alexandria).
Neutral-atom scattering factors, no anomalous dispersion.

Structural model:
```
data_Ho6Zn5Hg
_chemical_formula_sum 'Ho12 Zn10 Hg2'
_cell_length_a 5.054
_cell_length_b 15.184
_cell_length_c 7.187
_cell_angle_alpha 90.00
_cell_angle_beta 90.00
_cell_angle_gamma 90.00
_space_group_name_H-M_alt 'C m m m'
_space_group_IT_number 65
_space_group_name_Hall '-C 2 2'
loop_
_atom_site_label
_atom_site_type_symbol
_atom_site_fract_x
_atom_site_fract_y
_atom_site_fract_z
_atom_site_occupancy
Ho1 Ho 0.000 0.000 0.243 1
Ho2 Ho 0.000 0.331 0.246 1
Zn1 Zn 0.000 0.167 0.000 1
Zn2 Zn 0.000 0.169 0.500 1
Zn3 Zn 0.000 0.500 0.000 1
Hg1 Hg 0.000 0.500 0.500 1
```

Most intense lines, 5° ≤ 2θ ≤ 70°, in order of rising 2θ:
hkl	2θ (°)	I_rel
1 1 1	22.3	2
0 0 2	24.8	4
1 3 0	24.9	7
1 3 1	27.9	2
1 3 2	35.4	100
2 0 0	35.5	20
2 0 2	43.8	3
0 0 4	50.8	7
2 6 0	51.1	14
3 3 0	57.6	3
2 0 4	63.5	14
3 3 2	63.7	29


[3]
This entry pairs a crystal structure of Ho3ZnHg3 with its theoretical powder X-ray diffraction pattern. Radiation: Cu Ka. Structure: a DFT-relaxed cell (PBE, Alexandria).
Neutral-atom scattering factors, no anomalous dispersion.

Structural model:
```
data_Ho3ZnHg3
_chemical_formula_sum 'Ho6 Zn2 Hg6'
_cell_length_a 3.641
_cell_length_b 4.754
_cell_length_c 19.789
_cell_angle_alpha 90.00
_cell_angle_beta 90.00
_cell_angle_gamma 90.00
_space_group_name_H-M_alt 'I m m 2'
_space_group_IT_number 44
_space_group_name_Hall 'I 2 -2'
loop_
_atom_site_label
_atom_site_type_symbol
_atom_site_fract_x
_atom_site_fract_y
_atom_site_fract_z
_atom_site_occupancy
Ho1 Ho 0.000 0.000 0.000 1
Ho2 Ho 0.000 0.000 0.388 1
Ho3 Ho 0.000 0.500 0.198 1
Zn1 Zn 0.000 0.500 0.764 1
Hg1 Hg 0.000 0.000 0.544 1
Hg2 Hg 0.000 0.000 0.839 1
Hg3 Hg 0.000 0.500 0.633 1
```

Most intense lines, 5° ≤ 2θ ≤ 70°, in order of rising 2θ:
hkl	2θ (°)	I_rel
0 0 6	27.0	15
1 1 2	32.3	100
1 0 5	33.4	37
1 1 4	36.0	31
0 1 7	37.0	69
0 2 0	37.8	43
1 1 6	41.5	26
2 0 0	50.1	19
1 2 5	51.4	22
2 1 7	63.9	28
2 2 0	64.5	18
1 3 2	64.9	14


[4]
This entry pairs a crystal structure of Ho4ZnHg7 with its theoretical powder X-ray diffraction pattern. Radiation: Cu Ka. Structure: a DFT-relaxed cell (PBE, Alexandria).
Neutral-atom scattering factors, no anomalous dispersion.

Structural model:
```
data_Ho4ZnHg7
_chemical_formula_sum 'Ho8 Zn2 Hg14'
_cell_length_a 13.002
_cell_length_b 5.215
_cell_length_c 10.580
_cell_angle_alpha 90.00
_cell_angle_beta 120.12
_cell_angle_gamma 90.00
_space_group_name_H-M_alt 'C 1 2/m 1'
_space_group_IT_number 12
_space_group_name_Hall '-C 2y'
loop_
_atom_site_label
_atom_site_type_symbol
_atom_site_fract_x
_atom_site_fract_y
_atom_site_fract_z
_atom_site_occupancy
Ho1 Ho 0.077 0.000 0.274 1
Ho2 Ho 0.234 0.000 0.808 1
Zn1 Zn 0.000 0.500 0.500 1
Hg1 Hg 0.000 0.000 0.500 1
Hg2 Hg 0.078 0.500 0.845 1
Hg3 Hg 0.142 0.000 0.036 1
Hg4 Hg 0.190 0.500 0.427 1
```

Most intense lines, 5° ≤ 2θ ≤ 70°, in order of rising 2θ:
hkl	2θ (°)	I_rel
2 0 -2	17.8	15
1 1 -2	24.0	13
4 0 -3	30.6	50
0 2 0	34.4	62
3 1 1	34.6	100
1 1 3	38.4	15
5 1 -3	39.9	12
1 1 -4	40.0	59
4 2 -3	46.7	32
7 1 -2	53.0	13
3 3 1	61.8	24
1 3 -4	65.4	16


[5]
This entry pairs a crystal structure of Ho7Zn2Hg2 with its theoretical powder X-ray diffraction pattern. Radiation: Cu Ka. Structure: a DFT-relaxed cell (PBE, Alexandria).
Neutral-atom scattering factors, no anomalous dispersion.

Structural model:
```
data_Ho7Zn2Hg2
_chemical_formula_sum 'Ho14 Zn4 Hg4'
_cell_length_a 7.523
_cell_length_b 10.966
_cell_length_c 7.543
_cell_angle_alpha 90.00
_cell_angle_beta 90.00
_cell_angle_gamma 90.00
_space_group_name_H-M_alt 'C m m m'
_space_group_IT_number 65
_space_group_name_Hall '-C 2 2'
loop_
_atom_site_label
_atom_site_type_symbol
_atom_site_fract_x
_atom_site_fract_y
_atom_site_fract_z
_atom_site_occupancy
Ho1 Ho 0.000 0.000 0.000 1
Ho2 Ho 0.000 0.500 0.244 1
Ho3 Ho 0.250 0.250 0.278 1
Zn1 Zn 0.000 0.291 0.000 1
Hg1 Hg 0.187 0.000 0.500 1
```

Most intense lines, 5° ≤ 2θ ≤ 70°, in order of rising 2θ:
hkl	2θ (°)	I_rel
2 0 1	26.5	46
1 1 2	27.7	58
2 2 0	28.8	77
0 4 0	32.7	68
1 3 2	36.2	43
2 2 2	37.5	100
0 2 3	39.4	17
2 4 1	42.5	21
3 3 1	45.5	17
0 0 4	48.3	20
0 4 4	59.5	20
2 6 2	61.5	21


[6]
This entry pairs a crystal structure of Ho2ZnHg with its theoretical powder X-ray diffraction pattern. Radiation: Cu Ka. Structure: a DFT-relaxed cell (PBE, Alexandria).
Neutral-atom scattering factors, no anomalous dispersion.

Structural model:
```
data_Ho2ZnHg
_chemical_formula_sum 'Ho2 Zn1 Hg1'
_cell_length_a 5.108
_cell_length_b 5.108
_cell_length_c 3.691
_cell_angle_alpha 90.00
_cell_angle_beta 90.00
_cell_angle_gamma 90.00
_space_group_name_H-M_alt 'P 4/m m m'
_space_group_IT_number 123
_space_group_name_Hall '-P 4 2'
loop_
_atom_site_label
_atom_site_type_symbol
_atom_site_fract_x
_atom_site_fract_y
_atom_site_fract_z
_atom_site_occupancy
Ho1 Ho 0.000 0.500 0.000 1
Zn1 Zn 0.000 0.000 0.500 1
Hg1 Hg 0.500 0.500 0.500 1
```

Most intense lines, 5° ≤ 2θ ≤ 70°, in order of rising 2θ:
hkl	2θ (°)	I_rel
1 0 0	17.4	12
1 0 1	29.9	7
1 1 1	34.7	100
2 0 0	35.1	49
2 1 0	39.4	3
2 1 1	46.8	4
0 0 2	49.4	9
2 2 0	50.5	17
1 0 2	52.7	2
2 0 2	62.0	19
3 1 1	62.8	36
2 1 2	65.0	2


[7]
This entry pairs a crystal structure of Ho5ZnHg2 with its theoretical powder X-ray diffraction pattern. Radiation: Cu Ka. Structure: a DFT-relaxed cell (PBE, Alexandria).
Neutral-atom scattering factors, no anomalous dispersion.

Structural model:
```
data_Ho5ZnHg2
_chemical_formula_sum 'Ho20 Zn4 Hg8'
_cell_length_a 5.465
_cell_length_b 12.535
_cell_length_c 13.007
_cell_angle_alpha 90.00
_cell_angle_beta 90.00
_cell_angle_gamma 90.00
_space_group_name_H-M_alt 'C m c m'
_space_group_IT_number 63
_space_group_name_Hall '-C 2c 2'
loop_
_atom_site_label
_atom_site_type_symbol
_atom_site_fract_x
_atom_site_fract_y
_atom_site_fract_z
_atom_site_occupancy
Ho1 Ho 0.000 0.054 0.110 1
Ho2 Ho 0.000 0.375 0.047 1
Ho3 Ho 0.000 0.394 0.750 1
Zn1 Zn 0.000 0.243 0.250 1
Hg1 Hg 0.000 0.195 0.620 1
```

Most intense lines, 5° ≤ 2θ ≤ 70°, in order of rising 2θ:
hkl	2θ (°)	I_rel
1 1 1	19.0	10
0 2 3	25.0	23
0 4 1	29.3	24
2 0 0	32.8	100
1 3 3	34.0	71
0 4 3	35.3	14
1 1 5	39.0	12
1 5 0	39.5	21
0 0 6	41.6	17
2 4 1	44.5	15
2 4 3	49.0	11
3 3 3	59.3	14


[8]
This entry pairs a crystal structure of HoZrHg4 with its theoretical powder X-ray diffraction pattern. Radiation: Cu Ka. Structure: a DFT-relaxed cell (PBE, Alexandria).
Neutral-atom scattering factors, no anomalous dispersion.

Structural model:
```
data_HoZrHg4
_chemical_formula_sum 'Ho1 Zr1 Hg4'
_cell_length_a 3.527
_cell_length_b 5.158
_cell_length_c 7.842
_cell_angle_alpha 90.00
_cell_angle_beta 102.91
_cell_angle_gamma 90.00
_space_group_name_H-M_alt 'P 1 m 1'
_space_group_IT_number 6
_space_group_name_Hall 'P -2y'
loop_
_atom_site_label
_atom_site_type_symbol
_atom_site_fract_x
_atom_site_fract_y
_atom_site_fract_z
_atom_site_occupancy
Ho1 Ho 0.000 0.000 0.000 1
Zr1 Zr 0.782 0.500 0.562 1
Hg1 Hg 0.119 0.500 0.236 1
Hg2 Hg 0.329 0.000 0.660 1
Hg3 Hg 0.448 0.500 0.894 1
Hg4 Hg 0.668 0.000 0.337 1
```

Most intense lines, 5° ≤ 2θ ≤ 70°, in order of rising 2θ:
hkl	2θ (°)	I_rel
1 0 -2	30.8	19
0 2 0	34.8	33
0 0 3	35.2	11
1 1 1	35.5	100
0 1 3	39.4	31
1 2 -2	47.2	12
0 2 3	50.3	8
2 0 -1	51.8	11
1 0 -5	60.5	13
1 3 1	62.8	19
2 2 -1	63.9	12
0 3 3	65.5	7